Structure and theoretical X-ray diffraction stick pattern of BaIrF6 (a crystal structure in the Materials Project, relaxed with GGA-PBE; Cu Ka).
Lines closer than 0.1° are merged.

Principal peaks in the range 2θ from 10° to 80°, low angle first:
| 2θ/deg | d_spacing | I_rel |
| --- | --- | --- |
| 23.37 | 3.807 | 1000 |
| 27.71 | 3.219 | 618 |
| 36.55 | 2.458 | 251 |
| 41.07 | 2.198 | 169 |
| 43.84 | 2.065 | 598 |
| 47.78 | 1.903 | 168 |
| 51.45 | 1.776 | 132 |
| 56.13 | 1.639 | 179 |
| 62.66 | 1.483 | 205 |
| 64.79 | 1.439 | 137 |

Cell and atoms:
```
BaIrF6
1.0
3.807 2.198 2.459
-3.807 2.198 2.459
0.000 -4.396 2.459
Ba Ir F
1 1 6
Direct
0.000 0.000 0.000
0.500 0.500 0.500
0.198 0.570 0.240
0.240 0.198 0.570
0.430 0.760 0.802
0.570 0.240 0.198
0.760 0.802 0.430
0.802 0.430 0.760
```